# YPuAs
Computed powder diffraction line list, copper Kα. Input: a cell relaxed with GGA-PBE.
Kinematic intensities with the Lorentz-polarization factor, no thermal factor.

Most intense lines, 10 to 80 degrees two-theta, sorted by position:
(hkl)	2theta	I_rel
1 1 0	13.63	26
2 0 1	28.99	66
3 0 0	29.17	32
1 2 1	30.61	100
2 2 1	35.08	57
4 1 0	40.49	41
2 3 1	41.59	25
4 3 1	54.63	31

Cell and atoms:
```
data_YPuAs
_chemical_formula_sum 'Y4 Pu4 As4'
_space_group_name_H-M_alt 'P 42/m'
_space_group_IT_number 84
_cell_length_a 9.186
_cell_length_b 9.186
_cell_length_c 4.153
_cell_angle_alpha 90.00
_cell_angle_beta 90.00
_cell_angle_gamma 90.00
loop_
_space_group_symop_operation_xyz
'x,y,z'
'-x,-y,-z'
'-y,x,z+1/2'
'y,-x,-z+1/2'
'-x,-y,z'
'x,y,-z'
'y,-x,z+1/2'
'-y,x,-z+1/2'
loop_
_atom_site_label
_atom_site_fract_x
_atom_site_fract_y
_atom_site_fract_z
Y1 0.022 0.766 0.000
Pu1 0.321 0.605 0.500
As1 0.167 0.329 0.500
```